Structure and computed powder X-ray diffraction pattern of TlAg2PtBr8 (a structure optimized by DFT (GGA-PBE); Cu Kα (weighted mean of Kα1 and Kα2)).
Kinematic intensities with the Lorentz-polarization factor, no thermal factor.

Atomic structure:
Unit cell a=6.6099 b=6.6294 c=8.6887 alpha=83.65 beta=82.76 gamma=88.86
Space group P-1 (No. 2)
Symmetry-distinct sites (fractional):
Tl 0.0000 0.0000 0.0000 (multiplicity 1)
Ag 0.4129 0.4287 0.2309 (multiplicity 2)
Pt 0.0000 0.0000 0.5000 (multiplicity 1)
Br 0.1656 0.7801 0.7050 (multiplicity 2)
Br 0.2362 0.8520 0.2899 (multiplicity 2)
Br 0.2522 0.2760 0.5085 (multiplicity 2)
Br 0.3173 0.3286 0.9557 (multiplicity 2)

The 12 most intense peaks (5° ≤ 2θ ≤ 70°), by angle:
2θ/deg, d/Å, I/Imax
13.5, 6.572, 42
19.0, 4.662, 62
19.2, 4.633, 100
23.3, 3.811, 29
27.9, 3.196, 27
28.2, 3.164, 38
28.5, 3.128, 37
30.3, 2.947, 61
36.0, 2.491, 26
38.9, 2.317, 32
42.2, 2.142, 26
45.5, 1.992, 25